Starting from a crystal structure in Alexandria, relaxed with PBE, the PXRD pattern of CoTc2 was computed for a wavelength of 1.5418 Å.
Peak positions follow from Bragg's law for the DFT cell and can differ from measured ones.

Top 10 peaks for 10° ≤ 2θ ≤ 90°, in order of rising 2θ:
2theta  Rel. int.  index
38.75  25  1 3 0
38.94  12  0 6 0
42.51  38  0 0 2
44.43  100  1 3 1
44.59  49  0 6 1
58.86  14  1 3 2
70.40  16  1 9 0
79.13  17  1 3 3
85.83  19  1 9 2
86.92  14  2 6 1

Lattice parameters (Å, degrees): 2.687 13.877 4.254 90.00 90.00 90.00
Space group Cmcm (No. 63)
Asymmetric unit:
Co1 0.000 0.109 0.250
Tc1 0.000 0.223 0.750
Tc2 0.000 0.446 0.250